(1)
For CoAg2S3, DFT lattice parameters and positions (GGA-PBE) gives the calculated X-ray diffraction stick pattern in this record (Cu Kα X-rays).
Lines closer than 0.1° are merged.

Principal peaks in the range 15° ≤ 2θ ≤ 90°, low angle first:
2θ (°)	Rel. int.
28.1	50
28.4	100
28.5	49
32.2	30
47.3	34
47.8	33

Crystal structure
```
CoAg2S3
1.0
3.2717 -5.8831 0.0000
3.2717 5.8831 0.0000
-1.8839 0.0000 6.3509
Co Ag S
2 4 6
Direct
0.0769 0.9231 0.5000 Co
0.9231 0.0769 0.0000 Co
0.2409 0.7631 0.0100 Ag
0.4046 0.5649 0.5133 Ag
0.5649 0.4046 0.0133 Ag
0.7631 0.2409 0.5100 Ag
0.0311 0.1511 0.3352 S
0.1511 0.0311 0.8352 S
0.3373 0.8726 0.4036 S
0.5757 0.7525 0.9013 S
0.7525 0.5757 0.4013 S
0.8726 0.3373 0.9036 S
```


(2)
For Sc2Al3GaPt2, DFT lattice parameters and positions (GGA-PBE) gives the calculated X-ray diffraction stick pattern in this record (Cu Kα X-rays).
Lines closer than 0.1° are merged.

Principal peaks in the range 15° ≤ 2θ ≤ 90°, low angle first:
2θ (°)	Rel. int.
18.1	61
26.4	35
26.6	100
35.3	40
37.4	40
46.7	45

Crystal structure
```
Sc2Al3GaPt2
1.0
4.8998 -2.0994 0.0000
4.8998 2.0994 0.0000
-0.0372 0.0000 6.7640
Sc Al Ga Pt
2 3 1 2
Direct
0.0000 0.0000 0.0000 Sc
0.1521 0.1521 0.5031 Sc
0.4376 0.4376 0.7004 Al
0.4388 0.4388 0.3009 Al
0.7148 0.7148 0.1983 Al
0.7034 0.7034 0.7968 Ga
0.2851 0.2851 0.0013 Pt
0.8705 0.8705 0.5015 Pt
```


(3)
For CuAg2, DFT lattice parameters and positions (GGA-PBE) gives the calculated X-ray diffraction stick pattern in this record (Cu Kα X-rays).
Lines closer than 0.1° are merged.

Principal peaks in the range 15° ≤ 2θ ≤ 90°, low angle first:
2θ (°)	Rel. int.
39.1	100
44.6	35
47.1	12
65.0	13
66.9	16
78.5	23

Crystal structure
```
CuAg2
1.0
-1.4352 1.4352 17.3800
1.4352 -1.4352 17.3800
1.4352 1.4352 -17.3800
Cu Ag
3 6
Direct
0.0000 0.0000 0.0000 Cu
0.1051 0.1051 0.0000 Cu
0.3332 0.3332 0.0000 Cu
0.2191 0.2191 0.0000 Ag
0.4475 0.4475 0.0000 Ag
0.5525 0.5525 0.0000 Ag
0.6575 0.6575 0.0000 Ag
0.7808 0.7808 0.0000 Ag
0.8856 0.8856 0.0000 Ag
```


(4)
For ZnOs, DFT lattice parameters and positions (GGA-PBE) gives the calculated X-ray diffraction stick pattern in this record (Cu Kα X-rays).
Lines closer than 0.1° are merged.

Principal peaks in the range 15° ≤ 2θ ≤ 90°, low angle first:
2θ (°)	Rel. int.
20.4	28
37.9	36
41.6	24
43.4	100
57.5	22
83.4	19

Crystal structure
```
ZnOs
1.0
2.7417 0.0000 0.0000
-1.3708 2.3743 0.0000
0.0000 0.0000 4.3457
Zn Os
1 1
Direct
0.0000 0.0000 0.0000 Zn
0.3333 0.6667 0.5000 Os
```


(5)
For TbHoSbCl2, DFT lattice parameters and positions (GGA-PBE) gives the calculated X-ray diffraction stick pattern in this record (Cu Kα X-rays).
Lines closer than 0.1° are merged.

Principal peaks in the range 15° ≤ 2θ ≤ 90°, low angle first:
2θ (°)	Rel. int.
26.2	39
30.1	100
35.8	29
42.6	38
43.5	36
53.8	19

Crystal structure
```
TbHoSbCl2
1.0
4.1592 0.0000 0.0000
-2.0796 3.6020 0.0000
0.0000 0.0000 10.4990
Tb Ho Sb Cl
1 1 1 2
Direct
0.0000 0.0000 0.0000 Tb
0.3333 0.6667 0.3362 Ho
0.6667 0.3333 0.1701 Sb
0.0000 0.0000 0.4804 Cl
0.3333 0.6667 0.8539 Cl
```


(6)
For ZnSiAsP, DFT lattice parameters and positions (GGA-PBE) gives the calculated X-ray diffraction stick pattern in this record (Cu Kα X-rays).
Lines closer than 0.1° are merged.

Principal peaks in the range 15° ≤ 2θ ≤ 90°, low angle first:
2θ (°)	Rel. int.
28.2	100
46.4	24
47.0	23
47.2	23
55.0	14
55.3	14

Crystal structure
```
ZnSiAsP
1.0
-2.7567 2.7772 5.3916
2.7567 -2.7772 5.3916
2.7567 2.7772 -5.3916
Zn Si As P
2 2 2 2
Direct
0.1328 0.3828 0.7500 Zn
0.3672 0.1172 0.2500 Zn
0.6293 0.8793 0.7500 Si
0.8707 0.6207 0.2500 Si
0.2500 0.9897 0.7397 As
0.7500 0.5103 0.7603 As
0.5206 0.7500 0.2706 P
0.9794 0.2500 0.2294 P
```